Starting from a GGA-PBE-relaxed structure, the powder X-ray diffraction pattern of LaNdBiSe was simulated for Cu Kα X-rays.

Atomic structure:
a b c (Å): 4.5065 4.5065 6.3108
angles (deg): 90.00 90.00 90.00
Space group P4/mmm (No. 123)
One atom of each set of equivalent atoms:
La 0.0000 0.0000 0.0000 [1 per cell]
Nd 0.5000 0.5000 0.5000 [1 per cell]
Bi 0.5000 0.5000 0.0000 [1 per cell]
Se 0.0000 0.0000 0.5000 [1 per cell]

Principal peaks in the range 2θ from 5° to 70°, in order of rising 2θ:
hkl 1 1 0, 28.00°, rel. 100
hkl 0 0 2, 28.28°, rel. 49
hkl 2 0 0, 40.01°, rel. 39
hkl 1 1 2, 40.22°, rel. 76
hkl 2 0 2, 49.72°, rel. 42
hkl 3 1 0, 65.50°, rel. 18

***

Starting from a GGA-PBE-relaxed structure, the powder X-ray diffraction pattern of SrAc2Sn3Au6 was simulated for Cu Kα X-rays.

Atomic structure:
a b c (Å): 4.0550 4.0550 21.4679
angles (deg): 90.00 90.00 90.00
Space group P4/mmm (No. 123)
One atom of each set of equivalent atoms:
Sr 0.0000 0.0000 0.0000 [1 per cell]
Ac 0.0000 0.0000 0.3049 [2 per cell]
Sn 0.5000 0.5000 0.2130 [2 per cell]
Sn 0.5000 0.5000 0.5000 [1 per cell]
Au 0.0000 0.5000 0.1180 [4 per cell]
Au 0.5000 0.5000 0.3742 [2 per cell]

Principal peaks in the range 2θ from 5° to 70°, in order of rising 2θ:
hkl 0 0 4, 16.52°, rel. 63
hkl 1 0 5, 30.32°, rel. 58
hkl 1 1 1, 31.48°, rel. 100
hkl 1 1 3, 33.67°, rel. 78
hkl 1 0 7, 36.74°, rel. 73
hkl 2 0 0, 44.70°, rel. 86

***

Starting from a GGA-PBE-relaxed structure, the powder X-ray diffraction pattern of TlPt2 was simulated for Cu Kα X-rays.

Atomic structure:
a b c (Å): 7.7513 7.7513 7.7513
angles (deg): 90.00 90.00 90.00
Space group Fd-3m (No. 227, origin choice 2)
One atom of each set of equivalent atoms:
Tl 0.1250 0.1250 0.1250 [8 per cell]
Pt 0.0000 0.0000 0.5000 [16 per cell]

Principal peaks in the range 2θ from 5° to 70°, in order of rising 2θ:
hkl 2 2 0, 32.68°, rel. 28
hkl 3 1 1, 38.52°, rel. 100
hkl 2 2 2, 40.31°, rel. 39
hkl 4 2 2, 58.32°, rel. 11
hkl 5 1 1, 62.23°, rel. 33
hkl 4 4 0, 68.47°, rel. 29

***

Starting from a GGA-PBE-relaxed structure, the powder X-ray diffraction pattern of CeThI was simulated for Cu Kα X-rays.

Atomic structure:
a b c (Å): 11.3328 13.4267 9.9230
angles (deg): 90.00 90.00 90.00
Space group Fdd2 (No. 43)
One atom of each set of equivalent atoms:
Ce 0.1207 0.2019 0.0000 [16 per cell]
Th 0.1228 0.1719 0.3406 [16 per cell]
I 0.0851 0.1882 0.6728 [16 per cell]

Principal peaks in the range 2θ from 5° to 70°, in order of rising 2θ:
hkl 1 1 3, 28.89°, rel. 63
hkl 2 4 0, 30.96°, rel. 100
hkl 4 0 0, 31.58°, rel. 44
hkl 1 3 3, 34.64°, rel. 45
hkl 3 1 3, 36.73°, rel. 45
hkl 1 5 3, 44.17°, rel. 22

***

Starting from a GGA-PBE-relaxed structure, the powder X-ray diffraction pattern of Er3ScSn2 was simulated for Cu Kα X-rays.

Atomic structure:
a b c (Å): 6.2944 16.4465 6.2873
angles (deg): 90.00 90.00 90.00
Space group Ibam (No. 72)
One atom of each set of equivalent atoms:
Er 0.0000 0.0000 0.2500 [4 per cell]
Er 0.2498 0.1719 0.0000 [8 per cell]
Sc 0.0000 0.5000 0.2500 [4 per cell]
Sn 0.2435 0.3630 0.0000 [8 per cell]

Principal peaks in the range 2θ from 5° to 70°, in order of rising 2θ:
hkl 0 0 2, 28.37°, rel. 36
hkl 2 2 0, 30.43°, rel. 86
hkl 0 6 0, 32.67°, rel. 39
hkl 0 4 2, 35.95°, rel. 100
hkl 2 0 2, 40.56°, rel. 66
hkl 2 6 2, 53.02°, rel. 40

***

Starting from a GGA-PBE-relaxed structure, the powder X-ray diffraction pattern of TbTh2Tc was simulated for Cu Kα X-rays.

Atomic structure:
a b c (Å): 7.3110 9.7271 6.3341
angles (deg): 90.00 90.00 90.00
Space group Pnma (No. 62)
One atom of each set of equivalent atoms:
Tb 0.0403 0.2500 0.1436 [4 per cell]
Th 0.1704 0.0627 0.6681 [8 per cell]
Tc 0.1136 0.7500 0.4062 [4 per cell]

Principal peaks in the range 2θ from 5° to 70°, in order of rising 2θ:
hkl 2 2 0, 30.59°, rel. 51
hkl 0 3 1, 30.98°, rel. 85
hkl 1 1 2, 32.15°, rel. 72
hkl 1 3 1, 33.38°, rel. 51
hkl 2 2 1, 33.78°, rel. 100
hkl 2 3 0, 37.04°, rel. 50

***

Starting from a GGA-PBE-relaxed structure, the powder X-ray diffraction pattern of HfMn6Tc2 was simulated for Cu Kα X-rays.

Atomic structure:
a b c (Å): 13.1471 6.6555 2.7484
angles (deg): 90.00 101.93 90.00
Space group C2/m (No. 12)
One atom of each set of equivalent atoms:
Hf 0.0000 0.0000 0.0000 [2 per cell]
Mn 0.0000 0.3339 0.5000 [4 per cell]
Mn 0.1816 0.1695 0.6811 [8 per cell]
Tc 0.1420 0.5000 0.1410 [4 per cell]

Principal peaks in the range 2θ from 5° to 70°, in order of rising 2θ:
hkl 3 1 0, 24.70°, rel. 43
hkl 3 1 -1, 38.09°, rel. 90
hkl 6 0 0, 42.15°, rel. 50
hkl 0 2 1, 43.27°, rel. 87
hkl 3 1 1, 45.45°, rel. 42
hkl 3 3 0, 46.07°, rel. 100

***

Starting from a GGA-PBE-relaxed structure, the powder X-ray diffraction pattern of Cs2ReHI6 was simulated for Cu Kα X-rays.

Atomic structure:
a b c (Å): 8.2860 8.2860 11.7585
angles (deg): 90.00 90.00 90.00
Space group I4/mmm (No. 139)
One atom of each set of equivalent atoms:
Cs 0.0000 0.5000 0.2500 [4 per cell]
Re 0.0000 0.0000 0.0000 [2 per cell]
H 0.0000 0.0000 0.5000 [2 per cell]
I 0.0000 0.0000 0.2345 [4 per cell]
I 0.2353 0.2353 0.0000 [8 per cell]

Principal peaks in the range 2θ from 5° to 70°, in order of rising 2θ:
hkl 1 0 1, 13.07°, rel. 48
hkl 2 0 2, 26.32°, rel. 100
hkl 0 0 4, 30.41°, rel. 36
hkl 2 2 0, 30.51°, rel. 71
hkl 4 0 0, 43.64°, rel. 77
hkl 4 2 2, 51.73°, rel. 28

***

Starting from a GGA-PBE-relaxed structure, the powder X-ray diffraction pattern of Pm2PrDyY5 was simulated for Cu Kα X-rays.

Atomic structure:
a b c (Å): 8.6675 8.6675 15.7918
angles (deg): 90.00 90.00 90.00
Space group I4/mcm (No. 140)
One atom of each set of equivalent atoms:
Pm 0.1182 0.3818 0.0000 [8 per cell]
Pr 0.0000 0.5000 0.2500 [4 per cell]
Dy 0.0000 0.0000 0.2500 [4 per cell]
Y 0.0000 0.0000 0.0000 [4 per cell]
Y 0.2071 0.2929 0.3623 [16 per cell]

Principal peaks in the range 2θ from 5° to 70°, in order of rising 2θ:
hkl 2 1 3, 28.60°, rel. 58
hkl 2 2 0, 29.14°, rel. 49
hkl 2 0 4, 30.63°, rel. 100
hkl 3 2 1, 37.86°, rel. 22
hkl 4 0 2, 43.30°, rel. 21
hkl 4 2 4, 52.61°, rel. 22

***

Starting from a GGA-PBE-relaxed structure, the powder X-ray diffraction pattern of Sm2DyGa2 was simulated for Cu Kα X-rays.

Atomic structure:
a b c (Å): 7.6949 7.6949 4.4722
angles (deg): 90.00 90.00 90.00
Space group P4/mbm (No. 127)
One atom of each set of equivalent atoms:
Sm 0.1745 0.3255 0.0000 [4 per cell]
Dy 0.0000 0.0000 0.5000 [2 per cell]
Ga 0.1194 0.6194 0.5000 [4 per cell]

Principal peaks in the range 2θ from 5° to 70°, in order of rising 2θ:
hkl 2 0 1, 30.65°, rel. 61
hkl 2 1 1, 32.85°, rel. 100
hkl 3 1 0, 36.94°, rel. 41
hkl 0 0 2, 40.33°, rel. 22
hkl 4 1 1, 53.20°, rel. 17
hkl 3 1 2, 55.84°, rel. 25

***

Starting from a GGA-PBE-relaxed structure, the powder X-ray diffraction pattern of KNpBr6 was simulated for Cu Kα X-rays.

Atomic structure:
a b c (Å): 8.0542 12.0887 7.1481
angles (deg): 90.00 105.69 90.00
Space group C2/m (No. 12)
One atom of each set of equivalent atoms:
K 0.0000 0.0000 0.0000 [2 per cell]
Np 0.0000 0.5000 0.5000 [2 per cell]
Br 0.1643 0.3424 0.7490 [8 per cell]
Br 0.2398 0.0000 0.6688 [4 per cell]

Principal peaks in the range 2θ from 5° to 70°, in order of rising 2θ:
hkl 0 0 1, 12.86°, rel. 50
hkl 1 1 0, 13.57°, rel. 90
hkl 0 2 0, 14.66°, rel. 49
hkl 1 1 -1, 16.45°, rel. 63
hkl 0 2 1, 19.55°, rel. 39
hkl 1 3 1, 29.55°, rel. 100

***

Starting from a GGA-PBE-relaxed structure, the powder X-ray diffraction pattern of Cd2In4Hg3Pb2 was simulated for Cu Kα X-rays.

Atomic structure:
a b c (Å): 5.0298 5.0298 14.5483
angles (deg): 90.00 90.00 120.00
Space group P-3m1 (No. 164)
One atom of each set of equivalent atoms:
Cd 0.3333 0.6667 0.1364 [2 per cell]
In 0.3333 0.6667 0.3390 [2 per cell]
In 0.3333 0.6667 0.9062 [2 per cell]
Hg 0.0000 0.0000 0.0000 [1 per cell]
Hg 0.0000 0.0000 0.2593 [2 per cell]
Pb 0.3333 0.6667 0.5637 [2 per cell]

Principal peaks in the range 2θ from 5° to 70°, in order of rising 2θ:
hkl 1 0 3, 27.52°, rel. 37
hkl 0 1 4, 32.06°, rel. 77
hkl 1 1 0, 35.70°, rel. 100
hkl 1 0 5, 37.16°, rel. 37
hkl 2 0 4, 48.73°, rel. 24
hkl 1 2 4, 61.86°, rel. 24